# U2SN2O10
Theoretical powder diffraction line list, λ = 1.5418 Å (Cu Kα). Input: a cell relaxed with GGA-PBE.
No peak broadening, texture or thermal motion is included.

```
U2SN2O10
1.0
7.439 -4.387 0.000
7.439 4.387 0.000
0.000 0.000 17.374
U S N O
8 4 8 40
Direct
0.104 0.360 0.084
0.140 0.396 0.416
0.360 0.104 0.916
0.396 0.140 0.584
0.604 0.860 0.416
0.640 0.896 0.084
0.860 0.604 0.584
0.896 0.640 0.916
0.126 0.374 0.750
0.374 0.126 0.250
0.626 0.874 0.750
0.874 0.626 0.250
0.134 0.866 0.751
0.164 0.836 0.096
0.336 0.664 0.596
0.366 0.634 0.251
0.634 0.366 0.749
0.664 0.336 0.404
0.836 0.164 0.904
0.866 0.134 0.249
0.013 0.762 0.932
0.023 0.280 0.386
0.028 0.589 0.300
0.089 0.528 0.800
0.123 0.373 0.542
0.127 0.377 0.958
0.165 0.221 0.801
0.220 0.477 0.114
0.221 0.165 0.199
0.238 0.987 0.932
0.262 0.513 0.432
0.279 0.335 0.699
0.280 0.023 0.614
0.335 0.279 0.301
0.373 0.123 0.458
0.377 0.127 0.042
0.411 0.972 0.300
0.472 0.911 0.800
0.477 0.220 0.886
0.487 0.738 0.432
0.513 0.262 0.568
0.523 0.780 0.114
0.528 0.089 0.200
0.589 0.028 0.700
0.623 0.873 0.958
0.627 0.877 0.542
0.665 0.721 0.699
0.720 0.977 0.386
0.721 0.665 0.301
0.738 0.487 0.568
0.762 0.013 0.068
0.779 0.835 0.801
0.780 0.523 0.886
0.835 0.779 0.199
0.873 0.623 0.042
0.877 0.627 0.458
0.911 0.472 0.200
0.972 0.411 0.700
0.977 0.720 0.614
0.987 0.238 0.068
```

Main lines, sorted by position (2θ from 10° to 80°):
10.2°, 8.687 Å, rel. 14
11.9°, 7.439 Å, rel. 100
15.7°, 5.650 Å, rel. 11
23.9°, 3.719 Å, rel. 14
25.5°, 3.497 Å, rel. 31
28.2°, 3.165 Å, rel. 45
30.9°, 2.896 Å, rel. 11
33.2°, 2.698 Å, rel. 11
35.2°, 2.548 Å, rel. 12
53.3°, 1.719 Å, rel. 9

***

# CrCoB
Theoretical powder diffraction line list, λ = 1.5418 Å (Cu Kα). Input: a cell relaxed with GGA-PBE.
No peak broadening, texture or thermal motion is included.

```
CrCoB
1.0
0.000 3.518 3.702
2.094 0.000 3.702
2.094 3.518 0.000
Cr Co B
2 2 2
Direct
0.162 0.838 0.162
0.838 0.162 0.838
0.332 0.332 0.668
0.668 0.668 0.332
0.250 0.250 0.250
0.750 0.750 0.750
```

Main lines, sorted by position (2θ from 10° to 80°):
25.3°, 3.518 Å, rel. 12
35.2°, 2.550 Å, rel. 29
43.2°, 2.094 Å, rel. 39
44.5°, 2.035 Å, rel. 100
46.0°, 1.972 Å, rel. 78
50.7°, 1.799 Å, rel. 8
56.2°, 1.638 Å, rel. 10
56.9°, 1.618 Å, rel. 22
58.1°, 1.589 Å, rel. 13
80.0°, 1.200 Å, rel. 14

***

# Ba3Mo2N4
Theoretical powder diffraction line list, λ = 1.5418 Å (Cu Kα). Input: a cell relaxed with GGA-PBE.
No peak broadening, texture or thermal motion is included.

```
Ba3Mo2N4
1.0
6.277 0.000 0.000
0.000 10.850 0.000
0.000 0.000 10.361
Ba Mo N
12 8 16
Direct
0.125 0.159 0.081
0.125 0.341 0.419
0.250 0.000 0.402
0.250 0.500 0.098
0.375 0.659 0.419
0.375 0.841 0.081
0.625 0.159 0.919
0.625 0.341 0.581
0.750 0.000 0.598
0.750 0.500 0.902
0.875 0.659 0.581
0.875 0.841 0.919
0.151 0.250 0.750
0.250 0.000 0.737
0.250 0.500 0.763
0.349 0.750 0.750
0.651 0.250 0.250
0.750 0.000 0.263
0.750 0.500 0.237
0.849 0.750 0.250
0.027 0.088 0.832
0.027 0.412 0.668
0.156 0.649 0.864
0.156 0.851 0.636
0.344 0.149 0.636
0.344 0.351 0.864
0.473 0.588 0.668
0.473 0.912 0.832
0.527 0.088 0.168
0.527 0.412 0.332
0.656 0.649 0.136
0.656 0.851 0.364
0.844 0.149 0.364
0.844 0.351 0.136
0.973 0.588 0.332
0.973 0.912 0.168
```

Main lines, sorted by position (2θ from 10° to 80°):
26.1°, 3.415 Å, rel. 65
29.5°, 3.026 Å, rel. 100
29.6°, 3.015 Å, rel. 39
30.7°, 2.915 Å, rel. 39
33.4°, 2.681 Å, rel. 53
34.1°, 2.628 Å, rel. 32
45.0°, 2.013 Å, rel. 16
45.4°, 1.996 Å, rel. 20
51.8°, 1.765 Å, rel. 15
54.0°, 1.699 Å, rel. 17

***

# Lu2AlOs
Theoretical powder diffraction line list, λ = 1.5418 Å (Cu Kα). Input: a cell relaxed with GGA-PBE.
No peak broadening, texture or thermal motion is included.

```
Lu2AlOs
1.0
6.848 0.000 0.000
0.000 6.848 0.000
0.000 0.000 6.848
Lu Al Os
8 4 4
Direct
0.250 0.250 0.250
0.250 0.250 0.750
0.250 0.750 0.250
0.250 0.750 0.750
0.750 0.250 0.250
0.750 0.250 0.750
0.750 0.750 0.250
0.750 0.750 0.750
0.000 0.000 0.000
0.000 0.500 0.500
0.500 0.000 0.500
0.500 0.500 0.000
0.000 0.000 0.500
0.000 0.500 0.000
0.500 0.000 0.000
0.500 0.500 0.500
```

Main lines, sorted by position (2θ from 10° to 80°):
22.5°, 3.954 Å, rel. 19
26.0°, 3.424 Å, rel. 7
37.1°, 2.421 Å, rel. 100
43.8°, 2.065 Å, rel. 10
53.5°, 1.712 Å, rel. 18
58.8°, 1.571 Å, rel. 4
60.5°, 1.531 Å, rel. 3
66.9°, 1.398 Å, rel. 36
71.6°, 1.318 Å, rel. 3
79.1°, 1.211 Å, rel. 11

***

# MnCd2N2
Theoretical powder diffraction line list, λ = 1.5418 Å (Cu Kα). Input: a cell relaxed with GGA-PBE.
No peak broadening, texture or thermal motion is included.

```
MnCd2N2
1.0
5.098 0.000 0.000
0.000 2.931 0.000
-1.819 0.000 9.499
Mn Cd N
2 4 4
Direct
0.000 0.000 0.000
0.500 0.500 0.000
0.099 0.000 0.319
0.401 0.500 0.681
0.599 0.500 0.319
0.901 0.000 0.681
0.128 0.500 0.890
0.372 0.000 0.110
0.628 0.000 0.890
0.872 0.500 0.110
```

Main lines, sorted by position (2θ from 10° to 80°):
18.7°, 4.750 Å, rel. 29
28.2°, 3.166 Å, rel. 100
35.3°, 2.542 Å, rel. 33
35.5°, 2.530 Å, rel. 78
35.9°, 2.504 Å, rel. 27
37.7°, 2.389 Å, rel. 38
38.7°, 2.326 Å, rel. 28
43.6°, 2.075 Å, rel. 43
48.1°, 1.891 Å, rel. 45
63.3°, 1.470 Å, rel. 25

***

# Zn3Sb
Theoretical powder diffraction line list, λ = 1.5418 Å (Cu Kα). Input: a cell relaxed with GGA-PBE.
No peak broadening, texture or thermal motion is included.

```
Zn3Sb
1.0
4.152 0.000 0.000
0.000 4.152 0.000
0.000 0.000 8.894
Zn Sb
6 2
Direct
0.000 0.000 0.000
0.000 0.500 0.250
0.000 0.500 0.750
0.500 0.000 0.250
0.500 0.000 0.750
0.500 0.500 0.500
0.000 0.000 0.500
0.500 0.500 0.000
```

Main lines, sorted by position (2θ from 10° to 80°):
20.0°, 4.447 Å, rel. 3
23.6°, 3.762 Å, rel. 7
36.7°, 2.450 Å, rel. 100
40.6°, 2.224 Å, rel. 19
43.6°, 2.076 Å, rel. 30
61.1°, 1.517 Å, rel. 21
63.4°, 1.468 Å, rel. 10
71.3°, 1.323 Å, rel. 13
75.5°, 1.259 Å, rel. 22
78.0°, 1.225 Å, rel. 10